No. 1
# Co2PtCl2O3
Calculated PXRD pattern, Cu Kα (weighted mean of Kα1 and Kα2). Input: a GGA+U-relaxed structure.

Top 10 peaks for 2θ from 10° to 80°, sorted by position:
- 7.059 Å, 2θ 12.54, I = 76, (0 0 1)
- 5.113 Å, 2θ 17.34, I = 75, (0 1 1)
- 4.519 Å, 2θ 19.65, I = 84, (1 0 -1)
- 3.708 Å, 2θ 24.00, I = 95, (0 2 0)
- 3.529 Å, 2θ 25.23, I = 51, (0 0 2)
- 3.396 Å, 2θ 26.24, I = 78, (1 0 1)
- 3.036 Å, 2θ 29.42, I = 86, (1 1 -2)
- 2.867 Å, 2θ 31.20, I = 100, (1 2 -1)
- 2.557 Å, 2θ 35.10, I = 87, (0 2 2)
- 2.412 Å, 2θ 37.27, I = 48, (1 0 -3)

Atomic structure:
```
data_Co2PtCl2O3
_chemical_formula_sum 'Co4 Pt2 Cl4 O6'
_space_group_name_H-M_alt 'P 1 21/m 1'
_space_group_IT_number 11
_cell_length_a 4.804
_cell_length_b 7.417
_cell_length_c 7.411
_cell_angle_alpha 90.00
_cell_angle_beta 107.73
_cell_angle_gamma 90.00
loop_
_space_group_symop_operation_xyz
'x,y,z'
'-x,-y,-z'
'-x,y+1/2,-z'
'x,-y+1/2,z'
loop_
_atom_site_label
_atom_site_type_symbol
_atom_site_fract_x
_atom_site_fract_y
_atom_site_fract_z
Co1 Co 0.000 0.000 0.000
Co2 Co 0.243 0.250 0.779
Pt1 Pt 0.306 0.750 0.772
Cl1 Cl 0.163 0.250 0.449
Cl2 Cl 0.265 0.750 0.215
O1 O 0.232 0.503 0.818
O2 O 0.284 0.250 0.063
```



No. 2
# CoSb2Cl2O3
Calculated PXRD pattern, Cu Kα (weighted mean of Kα1 and Kα2). Input: a GGA+U-relaxed structure.

Top 10 peaks for 2θ from 10° to 80°, sorted by position:
- 7.442 Å, 2θ 11.89, I = 100, (0 1 0)
- 5.151 Å, 2θ 17.22, I = 47, (1 0 0)
- 3.721 Å, 2θ 23.91, I = 35, (0 2 0)
- 3.382 Å, 2θ 26.35, I = 58, (1 0 2)
- 3.217 Å, 2θ 27.73, I = 58, (1 1 2)
- 2.933 Å, 2θ 30.47, I = 64, (1 0 -2)
- 2.802 Å, 2θ 31.93, I = 67, (1 -2 0)
- 2.708 Å, 2θ 33.08, I = 48, (0 2 -2)
- 2.570 Å, 2θ 34.92, I = 42, (2 1 0)
- 2.397 Å, 2θ 37.53, I = 32, (1 3 0)

Atomic structure:
```
data_CoSb2Cl2O3
_chemical_formula_sum 'Co2 Sb4 Cl4 O6'
_space_group_name_H-M_alt 'P -1'
_space_group_IT_number 2
_cell_length_a 5.283
_cell_length_b 7.550
_cell_length_c 7.988
_cell_angle_alpha 88.47
_cell_angle_beta 81.44
_cell_angle_gamma 80.28
loop_
_space_group_symop_operation_xyz
'x,y,z'
'-x,-y,-z'
loop_
_atom_site_label
_atom_site_type_symbol
_atom_site_fract_x
_atom_site_fract_y
_atom_site_fract_z
Co1 Co 0.018 0.484 0.290
Sb1 Sb 0.398 0.711 0.975
Sb2 Sb 0.438 0.721 0.525
Cl1 Cl 0.150 0.210 0.777
Cl2 Cl 0.257 0.136 0.299
O1 O 0.263 0.492 0.471
O2 O 0.269 0.655 0.761
O3 O 0.282 0.483 0.084
```